[1]
Theoretical powder XRD pattern
Compound: LiO8
Radiation: Cu Kα (weighted mean of Kα1 and Kα2)
Structure: a DFT-relaxed cell (PBE, Alexandria)

Top 10 peaks for 2θ from 10° to 90°, in order of rising 2θ:
Position (°2θ)  I/Imax
20.15  11.6
21.29  18.4
21.98  100.0
35.44  44.2
36.59  67.6
37.59  16.7
39.93  18.2
41.07  27.4
47.84  12.6
55.67  12.6

Crystal structure
Cell lengths 5.037, 5.155, 5.163 Å; angles 118.40, 108.52, 100.09 degrees
Space group P1 (No. 1)
Inequivalent atoms, fractional coordinates:
Li 0.000 0.000 0.000 [1 per cell]
O 0.069 0.446 0.436 [1 per cell]
O 0.075 0.020 0.442 [1 per cell]
O 0.413 0.900 0.082 [1 per cell]
O 0.418 0.329 0.092 [1 per cell]
O 0.529 0.836 0.889 [1 per cell]
O 0.537 0.258 0.903 [1 per cell]
O 0.933 0.497 0.610 [1 per cell]
O 0.934 0.084 0.610 [1 per cell]

[2]
Theoretical powder XRD pattern
Compound: Li2O
Radiation: Cu Kα (weighted mean of Kα1 and Kα2)
Structure: a DFT-relaxed cell (PBE, Alexandria)

Top 10 peaks for 2θ from 10° to 90°, in order of rising 2θ:
Position (°2θ)  I/Imax
32.31  36.5
34.93  100.0
36.85  74.2
45.67  29.4
48.27  63.2
54.97  36.0
58.93  28.3
62.59  18.7
63.82  20.5
66.77  23.6

Crystal structure
Cell lengths 5.146, 3.135, 5.922 Å; angles 90.00, 90.00, 90.00 degrees
Space group Pnma (No. 62)
Inequivalent atoms, fractional coordinates:
Li 0.012 0.250 0.159 [4 per cell]
Li 0.141 0.250 0.579 [4 per cell]
O 0.245 0.750 0.399 [4 per cell]

[3]
Theoretical powder XRD pattern
Compound: LiOsO4
Radiation: Cu Kα (weighted mean of Kα1 and Kα2)
Structure: a DFT-relaxed cell (PBE, Alexandria)

Top 10 peaks for 2θ from 10° to 90°, in order of rising 2θ:
Position (°2θ)  I/Imax
16.99  100.0
25.19  79.8
30.54  90.0
32.33  18.8
36.74  21.1
43.06  47.5
53.12  13.7
54.83  23.1
56.55  15.4
59.19  15.3

Crystal structure
Cell lengths 4.593, 5.538, 10.439 Å; angles 90.00, 90.00, 90.00 degrees
Space group Pbcn (No. 60)
Inequivalent atoms, fractional coordinates:
Li 0.000 0.190 0.250 [4 per cell]
Os 0.000 0.500 0.000 [4 per cell]
O 0.206 0.495 0.646 [8 per cell]
O 0.233 0.240 0.426 [8 per cell]